Diffraction record for Tb3Pr2Tl3. The powder diffractogram is computed, not measured: it uses a DFT-relaxed cell (GGA-PBE, Alexandria) and CuKα.
Neutral-atom scattering factors, no anomalous dispersion.

Atomic structure:
```
16
Lattice="4.538 0.000 0.000 0.000 4.986 0.000 0.000 0.000 20.794" Properties=species:S:1:pos:R:3 pbc="T T T"
Tb 0.000 0.000 0.000
Tb 0.000 2.493 2.422
Tb 0.000 2.493 18.372
Tb 2.269 0.000 7.975
Tb 2.269 0.000 12.818
Tb 2.269 2.493 10.397
Pr 0.000 0.000 4.975
Pr 0.000 0.000 15.818
Pr 2.269 2.493 5.421
Pr 2.269 2.493 15.372
Tl 0.000 0.000 10.397
Tl 0.000 2.493 7.841
Tl 0.000 2.493 12.953
Tl 2.269 0.000 2.556
Tl 2.269 0.000 18.238
Tl 2.269 2.493 0.000
```

Top 6 peaks for 10° ≤ 2θ ≤ 80°, by angle:
hkl 1 1 4, 31.74°, I = 100
hkl 0 0 8, 34.51°, I = 18
hkl 0 2 0, 36.03°, I = 18
hkl 2 0 0, 39.73°, I = 14
hkl 1 1 12, 60.09°, I = 13
hkl 1 3 4, 62.10°, I = 15